(1)
This entry pairs a crystal structure of H2S6F with its theoretical XRD peak list. Radiation: Cu Kα. Structure: DFT lattice parameters and positions (GGA-PBE).

Largest 10 diffraction maxima, sorted by position, 10 to 90 degrees two-theta:
2θ 17.1, I 40, hkl 0 1 0; 2θ 19.3, I 20, hkl 1 0 -1; 2θ 19.4, I 26, hkl 1 0 0; 2θ 20.7, I 100, hkl 0 1 1; 2θ 22.6, I 44, hkl -1 1 1; 2θ 24.2, I 18, hkl 1 0 -2; 2θ 26.2, I 24, hkl 1 -1 1; 2θ 29.4, I 30, hkl 1 1 0; 2θ 32.0, I 37, hkl 1 0 -3; 2θ 37.2, I 21, hkl 1 -2 1

Crystal structure
```
data_H2S6F
_chemical_formula_sum 'H2 S6 F1'
_symmetry_space_group_name_H-M 'P -1'
_symmetry_Int_Tables_number 2
_symmetry_space_group_name_Hall '-P 1'
_cell_length_a 4.9314
_cell_length_b 5.3946
_cell_length_c 8.9233
_cell_angle_alpha 90.02
_cell_angle_beta 105.53
_cell_angle_gamma 105.33
loop_
_atom_site_label
_atom_site_fract_x
_atom_site_fract_y
_atom_site_fract_z
_atom_site_occupancy
H1 0.2339 0.1711 0.0791 1
S1 0.2720 0.8753 0.7211 1
S2 0.2846 0.8897 0.4935 1
S3 0.4979 0.3706 0.1779 1
F1 0.0000 0.0000 0.0000 1
```



(2)
This entry pairs a crystal structure of RbGeBr with its theoretical XRD peak list. Radiation: Cu Kα. Structure: DFT lattice parameters and positions (GGA-PBE).

Largest 10 diffraction maxima, sorted by position, 10 to 90 degrees two-theta:
2θ 15.3, I 36, hkl 1 1 1; 2θ 17.0, I 26, hkl 0 2 0; 2θ 25.6, I 100, hkl 2 0 2; 2θ 26.6, I 38, hkl 2 2 1; 2θ 28.7, I 23, hkl 1 3 1; 2θ 30.9, I 58, hkl 2 2 2; 2θ 37.1, I 32, hkl 4 0 0; 2θ 40.0, I 33, hkl 0 2 4; 2θ 48.1, I 26, hkl 2 4 3; 2θ 55.6, I 24, hkl 4 2 4

Crystal structure
```
data_RbGeBr
_chemical_formula_sum 'Rb8 Ge8 Br8'
_symmetry_space_group_name_H-M 'C m c e'
_symmetry_Int_Tables_number 64
_symmetry_space_group_name_Hall '-C 2ac 2'
_cell_length_a 9.7022
_cell_length_b 10.4418
_cell_length_c 10.0039
_cell_angle_alpha 90.00
_cell_angle_beta 90.00
_cell_angle_gamma 90.00
loop_
_atom_site_label
_atom_site_fract_x
_atom_site_fract_y
_atom_site_fract_z
_atom_site_occupancy
Rb1 0.2500 0.1925 0.2500 1
Ge1 0.0000 0.0506 0.6057 1
Br1 0.0000 0.2239 0.9944 1
```



(3)
This entry pairs a crystal structure of PmTiOsO6 with its theoretical XRD peak list. Radiation: Cu Kα. Structure: DFT lattice parameters and positions (GGA-PBE).

Largest 10 diffraction maxima, sorted by position, 10 to 90 degrees two-theta:
2θ 20.4, I 34, hkl 1 0 1; 2θ 25.8, I 100, hkl 1 1 0; 2θ 33.4, I 81, hkl 1 0 3; 2θ 36.9, I 24, hkl 2 0 0; 2θ 50.6, I 65, hkl 2 1 3; 2θ 53.1, I 17, hkl 2 2 0; 2θ 60.0, I 16, hkl 3 1 0; 2θ 64.0, I 15, hkl 1 1 6; 2θ 64.2, I 19, hkl 3 0 3; 2θ 76.4, I 14, hkl 3 2 3

Crystal structure
```
data_PmTiOsO6
_chemical_formula_sum 'Pm2 Ti2 Os2 O12'
_symmetry_space_group_name_H-M 'P 42 n m'
_symmetry_Int_Tables_number 102
_symmetry_space_group_name_Hall 'P 4n -2n'
_cell_length_a 4.8771
_cell_length_b 4.8771
_cell_length_c 9.6195
_cell_angle_alpha 90.00
_cell_angle_beta 90.00
_cell_angle_gamma 90.00
loop_
_atom_site_label
_atom_site_fract_x
_atom_site_fract_y
_atom_site_fract_z
_atom_site_occupancy
Pm1 0.0000 0.0000 0.0000 1
Ti1 0.0000 0.0000 0.3325 1
Os1 0.0000 0.0000 0.6707 1
O1 0.1704 0.1704 0.5048 1
O2 0.2108 0.2108 0.8109 1
O3 0.2123 0.2123 0.1929 1
```